Record 1
# Cs3Mn3V4O16
Computed powder diffractogram, copper Kα. Input: a crystal structure in the Materials Project, relaxed with GGA+U.
Neutral-atom scattering factors, no anomalous dispersion.

The 12 most intense peaks (5 to 70 degrees two-theta), by angle:
two_theta  d (Å)  Rel. int.
21.76  4.084  40.6
22.80  3.900  64.5
23.38  3.805  92.3
23.68  3.757  26.2
25.31  3.519  36.4
26.92  3.312  100.0
27.42  3.253  75.6
28.87  3.093  62.6
29.97  2.982  58.4
31.00  2.885  45.1
31.46  2.843  32.5
36.13  2.486  52.5

Unit cell a=5.2838 b=7.6254 c=11.6399 alpha=77.79 beta=89.77 gamma=82.55
Element x y z (fractional)
Cs 0.0000 0.0000 0.0000
Cs 0.1141 0.2597 0.4854
Cs 0.8859 0.7403 0.5146
Mn 0.0085 0.4401 0.1325
Mn 0.5000 0.5000 0.0000
Mn 0.9915 0.5599 0.8675
V 0.4730 0.8662 0.7668
V 0.4738 0.3273 0.7619
V 0.5262 0.6727 0.2381
V 0.5270 0.1338 0.2332
O 0.1694 0.4521 0.7436
O 0.1952 0.3868 0.9923
O 0.2100 0.2353 0.2354
O 0.3056 0.7270 0.8706
O 0.3402 0.6038 0.1318
O 0.3464 0.8950 0.6319
O 0.3857 0.6398 0.3672
O 0.4542 0.0847 0.8117
O 0.5458 0.9153 0.1883
O 0.6143 0.3602 0.6328
O 0.6536 0.1050 0.3681
O 0.6598 0.3962 0.8682
O 0.6944 0.2730 0.1294
O 0.7900 0.7647 0.7646
O 0.8048 0.6132 0.0077
O 0.8306 0.5479 0.2564


Record 2
# CsNaMoO6
Computed powder diffractogram, copper Kα. Input: a crystal structure in the Materials Project, relaxed with GGA+U.
Neutral-atom scattering factors, no anomalous dispersion.

The 12 most intense peaks (5 to 70 degrees two-theta), by angle:
two_theta  d (Å)  Rel. int.
13.17  6.724  47.6
18.28  4.854  82.1
23.47  3.790  83.0
25.40  3.507  36.5
25.99  3.429  100.0
26.74  3.334  82.2
26.89  3.315  35.4
27.49  3.245  30.0
28.71  3.110  34.2
34.86  2.574  38.4
37.77  2.382  27.2
38.19  2.357  47.6

Unit cell a=7.0145 b=7.8610 c=12.9784 alpha=90.00 beta=90.00 gamma=90.00
Element x y z (fractional)
Cs 0.0443 0.1563 0.1483
Cs 0.4557 0.8437 0.6483
Cs 0.5443 0.3437 0.8517
Cs 0.9557 0.6563 0.3517
Na 0.1284 0.2194 0.5121
Na 0.3716 0.7806 0.0121
Na 0.6284 0.2806 0.4879
Na 0.8716 0.7194 0.9879
Mo 0.0506 0.0864 0.8527
Mo 0.4494 0.9136 0.3527
Mo 0.5506 0.4136 0.1473
Mo 0.9494 0.5864 0.6473
O 0.0260 0.2809 0.9224
O 0.1037 0.9236 0.9468
O 0.1386 0.5630 0.9063
O 0.1633 0.6843 0.1449
O 0.1735 0.5436 0.7141
O 0.2480 0.1036 0.7655
O 0.2520 0.8964 0.2655
O 0.3265 0.4564 0.2141
O 0.3367 0.3157 0.6449
O 0.3614 0.4370 0.4063
O 0.3963 0.0764 0.4468
O 0.4740 0.7191 0.4224
O 0.5260 0.2191 0.0776
O 0.6037 0.5764 0.0532
O 0.6386 0.9370 0.0937
O 0.6633 0.8157 0.8551
O 0.6735 0.9564 0.2859
O 0.7480 0.3964 0.2345
O 0.7520 0.6036 0.7345
O 0.8265 0.0436 0.7859
O 0.8367 0.1843 0.3551
O 0.8614 0.0630 0.5937
O 0.8963 0.4236 0.5532
O 0.9740 0.7809 0.5776


Record 3
# CsNa3U4Mo2O20
Computed powder diffractogram, copper Kα. Input: a crystal structure in the Materials Project, relaxed with GGA+U.
Neutral-atom scattering factors, no anomalous dispersion.

The 12 most intense peaks (5 to 70 degrees two-theta), by angle:
two_theta  d (Å)  Rel. int.
7.85  11.269  13.2
13.62  6.501  100.0
17.12  5.179  20.9
24.37  3.652  14.1
26.11  3.413  18.3
26.27  3.392  56.3
26.74  3.334  10.3
27.44  3.250  26.3
27.88  3.201  62.8
29.68  3.010  17.0
31.20  2.867  12.4
43.94  2.061  12.7

Unit cell a=6.7300 b=6.9275 c=11.5895 alpha=84.02 beta=77.13 gamma=81.14
Element x y z (fractional)
Cs 0.0000 0.0000 0.0000
Na 0.0000 0.0000 0.5000
Na 0.0551 0.4778 0.6678
Na 0.9449 0.5222 0.3322
U 0.4613 0.7671 0.2472
U 0.4920 0.2581 0.4373
U 0.5080 0.7419 0.5627
U 0.5387 0.2329 0.7528
Mo 0.3915 0.3301 0.1018
Mo 0.6085 0.6699 0.8982
O 0.1278 0.4028 0.1142
O 0.1794 0.7725 0.2984
O 0.2040 0.3015 0.4731
O 0.2200 0.7810 0.6038
O 0.2576 0.2461 0.8089
O 0.4118 0.0676 0.1332
O 0.4451 0.6584 0.0533
O 0.4691 0.4202 0.6017
O 0.4702 0.9582 0.3920
O 0.4718 0.3953 0.2329
O 0.5282 0.6047 0.7671
O 0.5298 0.0418 0.6080
O 0.5309 0.5798 0.3983
O 0.5549 0.3416 0.9467
O 0.5882 0.9324 0.8668
O 0.7424 0.7539 0.1911
O 0.7800 0.2190 0.3962
O 0.7960 0.6985 0.5269
O 0.8206 0.2275 0.7016
O 0.8722 0.5972 0.8858


Record 4
# CsNdMo2O8
Computed powder diffractogram, copper Kα. Input: a crystal structure in the Materials Project, relaxed with GGA+U.
Neutral-atom scattering factors, no anomalous dispersion.

The 12 most intense peaks (5 to 70 degrees two-theta), by angle:
two_theta  d (Å)  Rel. int.
26.73  3.335  23.6
27.02  3.300  100.0
27.68  3.223  77.5
29.66  3.012  39.1
32.22  2.778  12.7
33.36  2.686  12.6
36.37  2.470  14.1
45.06  2.012  16.4
49.52  1.841  13.5
50.67  1.801  11.8
51.80  1.765  17.0
53.74  1.706  12.5

Unit cell a=7.7562 b=7.7562 c=8.0527 alpha=118.41 beta=118.41 gamma=88.41
Element x y z (fractional)
Cs 0.1960 0.8040 0.7500
Cs 0.8040 0.1960 0.2500
Nd 0.2298 0.7702 0.2500
Nd 0.7702 0.2298 0.7500
Mo 0.3084 0.3095 0.2662
Mo 0.3095 0.3084 0.7662
Mo 0.6905 0.6916 0.2338
Mo 0.6916 0.6905 0.7338
O 0.0616 0.2161 0.7033
O 0.0750 0.3840 0.1294
O 0.2161 0.0616 0.2033
O 0.2432 0.3864 0.5739
O 0.3715 0.5817 0.0304
O 0.3840 0.0750 0.6294
O 0.3864 0.2432 0.0739
O 0.4183 0.6285 0.4696
O 0.5817 0.3715 0.5304
O 0.6136 0.7568 0.9261
O 0.6160 0.9250 0.3706
O 0.6285 0.4183 0.9696
O 0.7568 0.6136 0.4261
O 0.7839 0.9384 0.7967
O 0.9250 0.6160 0.8706
O 0.9384 0.7839 0.2967


Record 5
# CsNdMo2O8
Computed powder diffractogram, copper Kα. Input: a crystal structure in the Materials Project, relaxed with GGA+U.
Neutral-atom scattering factors, no anomalous dispersion.

The 12 most intense peaks (5 to 70 degrees two-theta), by angle:
two_theta  d (Å)  Rel. int.
9.10  9.721  32.4
25.16  3.540  96.2
27.10  3.291  100.0
27.81  3.208  58.8
34.74  2.582  16.7
42.34  2.135  15.5
45.07  2.012  44.5
46.45  1.955  20.1
49.90  1.828  34.2
55.88  1.645  11.6
57.74  1.597  9.9
68.37  1.372  10.2

Unit cell a=5.1650 b=9.7212 c=8.5385 alpha=90.00 beta=90.00 gamma=90.00
Element x y z (fractional)
Cs 0.0000 0.0000 0.2500
Cs 0.0000 0.0000 0.7500
Nd 0.0000 0.5000 0.2500
Nd 0.0000 0.5000 0.7500
Mo 0.4788 0.3010 0.0000
Mo 0.4788 0.6990 0.5000
Mo 0.5212 0.3010 0.5000
Mo 0.5212 0.6990 0.0000
O 0.2540 0.4289 0.5000
O 0.2540 0.5711 0.0000
O 0.2655 0.3120 0.1676
O 0.2655 0.3120 0.8324
O 0.2655 0.6880 0.3324
O 0.2655 0.6880 0.6676
O 0.3765 0.1382 0.5000
O 0.3765 0.8618 0.0000
O 0.6235 0.1382 0.0000
O 0.6235 0.8618 0.5000
O 0.7345 0.3120 0.3324
O 0.7345 0.3120 0.6676
O 0.7345 0.6880 0.1676
O 0.7345 0.6880 0.8324
O 0.7460 0.4289 0.0000
O 0.7460 0.5711 0.5000